Starting from a crystal structure in Alexandria, relaxed with PBE, the powder X-ray diffraction pattern of ScRe was calculated for Cu Kα, 1.54184 Å.

Peak list (10 most intense, 10 to 90 degrees two-theta, most intense first)
two_theta, d_spacing, I/Imax
38.92, 2.314, 100
21.47, 4.138, 32
39.03, 2.308, 27
70.66, 1.333, 25
38.55, 2.335, 23
16.57, 5.349, 19
25.49, 3.494, 16
56.02, 1.641, 15
69.99, 1.344, 12
40.03, 2.252, 10

Structure:
Lattice parameters (Å, degrees): 6.5248 4.6154 9.3413 90.00 90.00 90.00
Element x y z (fractional)
Sc 0.1168 0.2500 0.2474
Sc 0.1381 0.7500 0.4788
Sc 0.3619 0.2500 0.9788
Sc 0.3832 0.7500 0.7474
Sc 0.6168 0.2500 0.2526
Sc 0.6381 0.7500 0.0212
Sc 0.8619 0.2500 0.5212
Sc 0.8832 0.7500 0.7526
Re 0.1155 0.7500 0.0187
Re 0.1445 0.2500 0.7330
Re 0.3555 0.7500 0.2330
Re 0.3845 0.2500 0.5187
Re 0.6155 0.7500 0.4813
Re 0.6445 0.2500 0.7670
Re 0.8555 0.7500 0.2670
Re 0.8845 0.2500 0.9813